Starting from a cell relaxed with GGA-PBE, the XRD peak list of La4Te2I was simulated for Cu Kα (weighted mean of Kα1 and Kα2).
No peak broadening, texture or thermal motion is included.

Crystal structure
a b c (Å): 5.9109 5.9109 15.9851
angles (deg): 90.00 90.00 90.00
Sites, in units of the cell vectors:
1 La 0.0000 0.0000 0.1935
2 La 0.0000 0.0000 0.8065
3 La 0.0000 0.5000 0.0000
4 La 0.0000 0.5000 0.5000
5 La 0.5000 0.0000 0.0000
6 La 0.5000 0.0000 0.5000
7 La 0.5000 0.5000 0.3065
8 La 0.5000 0.5000 0.6935
9 Te 0.0000 0.0000 0.3863
10 Te 0.0000 0.0000 0.6137
11 Te 0.5000 0.5000 0.1137
12 Te 0.5000 0.5000 0.8863
13 I 0.0000 0.0000 0.0000
14 I 0.5000 0.5000 0.5000

Most intense lines, 10 to 90 degrees two-theta, by angle:
two_theta, I/Imax, index
21.26, 40, 1 1 0
24.03, 43, 1 1 2
30.24, 100, 2 0 0
31.82, 79, 1 0 5
43.29, 37, 2 2 0
44.47, 62, 2 1 5